Computed XRD peak list
Compound: CsKMg6
Radiation: Cu Kα
Structure: a crystal structure in the Materials Project, relaxed with PBE

The 10 most intense peaks (15° ≤ 2θ ≤ 90°), by intensity:
d 2.644, 2θ 33.90, rel. 100.0
d 3.189, 2θ 27.98, rel. 91.5
d 4.339, 2θ 20.47, rel. 84.1
d 3.087, 2θ 28.93, rel. 58.2
d 4.072, 2θ 21.82, rel. 37.4
d 2.563, 2θ 35.01, rel. 37.3
d 3.944, 2θ 22.54, rel. 34.9
d 1.972, 2θ 46.03, rel. 30.9
d 1.948, 2θ 46.63, rel. 29.1
d 5.127, 2θ 17.30, rel. 29.0

Structure:
```
8
Lattice="5.127 0.000 0.000 0.000 3.336 8.145 0.000 -3.336 8.145" Properties=species:S:1:pos:R:3 pbc="T T T"
Cs 0.000 0.000 0.000
K 0.000 0.000 8.284
Mg 0.000 -1.657 4.308
Mg 0.000 1.657 4.308
Mg 2.563 0.000 5.293
Mg 2.563 -1.656 10.693
Mg 2.563 0.000 13.310
Mg 2.563 1.656 10.693
```

***

Computed XRD peak list
Compound: CsKMg14
Radiation: Cu Kα
Structure: a crystal structure in the Materials Project, relaxed with PBE

The 10 most intense peaks (15° ≤ 2θ ≤ 90°), by intensity:
d 2.622, 2θ 34.19, rel. 100.0
d 3.016, 2θ 29.62, rel. 28.3
d 3.985, 2θ 22.31, rel. 27.5
d 2.654, 2θ 33.77, rel. 23.1
d 5.245, 2θ 16.90, rel. 20.4
d 1.456, 2θ 63.94, rel. 18.5
d 1.526, 2θ 60.68, rel. 17.6
d 1.741, 2θ 52.55, rel. 17.3
d 1.993, 2θ 45.52, rel. 16.5
d 1.451, 2θ 64.20, rel. 13.6

Structure:
```
16
Lattice="6.966 0.000 0.000 -3.483 6.032 0.000 0.000 0.000 10.616" Properties=species:S:1:pos:R:3 pbc="T T T"
Cs 0.000 0.000 0.000
K 0.000 0.000 5.308
Mg -1.715 3.032 5.308
Mg -1.695 3.043 0.000
Mg 0.000 2.218 2.723
Mg 0.000 2.218 7.894
Mg -1.562 4.923 2.723
Mg -1.562 4.923 7.894
Mg 1.695 3.043 0.000
Mg 0.000 5.978 0.000
Mg 1.715 3.032 5.308
Mg 0.000 6.001 5.308
Mg 1.562 4.923 2.723
Mg 1.562 4.923 7.894
Mg 3.483 2.011 2.647
Mg 3.483 2.011 7.969
```

***

Computed XRD peak list
Compound: CsKO3
Radiation: Cu Kα
Structure: a crystal structure in the Materials Project, relaxed with PBE

The 10 most intense peaks (15° ≤ 2θ ≤ 90°), by intensity:
d 3.177, 2θ 28.09, rel. 100.0
d 4.493, 2θ 19.76, rel. 55.9
d 1.834, 2θ 49.70, rel. 40.1
d 2.247, 2θ 40.14, rel. 37.7
d 2.009, 2θ 45.12, rel. 25.5
d 1.589, 2θ 58.06, rel. 23.1
d 1.201, 2θ 79.88, rel. 20.4
d 1.421, 2θ 65.72, rel. 17.5
d 1.498, 2θ 61.96, rel. 12.4
d 1.297, 2θ 72.93, rel. 7.4

Structure:
```
5
Lattice="4.493 0.000 0.000 0.000 4.493 0.000 0.000 0.000 4.493" Properties=species:S:1:pos:R:3 pbc="T T T"
Cs 0.000 0.000 0.000
K 2.247 2.247 2.247
O 0.000 0.000 2.247
O 0.000 2.247 0.000
O 2.247 0.000 0.000
```

***

Computed XRD peak list
Compound: Cs2KU2Si4O14
Radiation: Cu Kα
Structure: a crystal structure in the Materials Project, relaxed with PBE

The 10 most intense peaks (15° ≤ 2θ ≤ 90°), by intensity:
d 3.156, 2θ 28.27, rel. 100.0
d 3.225, 2θ 27.66, rel. 60.6
d 3.735, 2θ 23.82, rel. 54.0
d 5.905, 2θ 15.00, rel. 42.5
d 2.061, 2θ 43.93, rel. 29.5
d 3.850, 2θ 23.10, rel. 24.4
d 2.952, 2θ 30.27, rel. 21.8
d 2.343, 2θ 38.42, rel. 20.8
d 4.686, 2θ 18.94, rel. 18.7
d 2.316, 2θ 38.88, rel. 17.8

Structure:
```
23
Lattice="4.271 -5.905 0.000 4.271 5.905 0.000 0.000 0.000 7.700" Properties=species:S:1:pos:R:3 pbc="T T T"
Cs 4.271 3.345 0.000
Cs 4.271 -3.345 0.000
K 0.000 0.000 3.850
U 2.135 2.952 3.850
U 2.135 -2.952 3.850
Si 2.636 0.000 1.582
Si 2.636 0.000 6.118
Si 5.906 0.000 1.582
Si 5.906 0.000 6.118
O 2.057 1.355 2.270
O 2.057 1.355 5.429
O 4.271 2.978 3.850
O 2.125 0.000 0.000
O 2.057 -1.355 2.270
O 2.057 -1.355 5.429
O 4.271 0.000 1.559
O 4.271 0.000 6.141
O 6.485 1.355 2.270
O 6.485 1.355 5.429
O 6.417 0.000 0.000
O 4.271 -2.978 3.850
O 6.485 -1.355 2.270
O 6.485 -1.355 5.429
```

***

Computed XRD peak list
Compound: Cs2K2TeO5
Radiation: Cu Kα
Structure: a crystal structure in the Materials Project, relaxed with PBE

The 10 most intense peaks (15° ≤ 2θ ≤ 90°), by intensity:
d 3.370, 2θ 26.45, rel. 100.0
d 3.171, 2θ 28.14, rel. 84.6
d 2.960, 2θ 30.19, rel. 80.7
d 4.187, 2θ 21.22, rel. 36.3
d 3.915, 2θ 22.71, rel. 34.9
d 1.877, 2θ 48.49, rel. 34.9
d 2.428, 2θ 37.03, rel. 32.8
d 2.009, 2θ 45.13, rel. 31.9
d 3.310, 2θ 26.94, rel. 28.6
d 2.271, 2θ 39.70, rel. 22.9

Structure:
```
40
Lattice="9.362 0.000 0.000 0.000 9.362 0.000 0.000 0.000 9.712" Properties=species:S:1:pos:R:3 pbc="T T T"
Cs 0.000 4.681 2.428
Cs 0.000 4.681 7.284
Cs 1.548 1.548 0.000
Cs 3.133 6.229 4.856
Cs 4.681 0.000 2.428
Cs 4.681 0.000 7.284
Cs 6.229 3.133 4.856
Cs 7.814 7.814 0.000
K 1.158 8.203 2.765
K 1.158 8.203 6.947
K 3.522 3.522 2.091
K 3.522 3.522 7.620
K 5.839 5.839 2.091
K 5.839 5.839 7.620
K 8.203 1.158 2.765
K 8.203 1.158 6.947
Te 1.801 1.801 4.856
Te 2.880 6.482 0.000
Te 6.482 2.880 0.000
Te 7.560 7.560 4.856
O 0.015 2.515 4.856
O 1.533 7.829 0.000
O 1.688 1.688 2.903
O 1.688 1.688 6.809
O 2.166 4.696 0.000
O 2.515 0.015 4.856
O 2.993 6.369 1.953
O 2.993 6.369 7.759
O 3.148 3.148 4.856
O 4.665 7.196 0.000
O 4.696 2.166 0.000
O 6.214 6.214 4.856
O 6.369 2.993 1.953
O 6.369 2.993 7.759
O 6.847 9.346 4.856
O 7.196 4.665 0.000
O 7.673 7.673 2.903
O 7.673 7.673 6.809
O 7.829 1.533 0.000
O 9.346 6.847 4.856
```